(1)
# Sc2CoAs
Theoretical XRD peak list, Cu Kα (weighted mean of Kα1 and Kα2). Input: DFT lattice parameters and positions (GGA-PBE).
No peak broadening, texture or thermal motion is included.

Principal peaks in the range 10° ≤ 2θ ≤ 90°, by intensity:
35.0 deg, I = 1000, hkl 1 1 1; 43.7 deg, I = 883, hkl 1 1 3; 43.1 deg, I = 418, hkl 1 0 4; 46.4 deg, I = 305, hkl 2 0 0; 26.3 deg, I = 259, hkl 0 1 1; 17.8 deg, I = 246, hkl 0 0 2; 50.6 deg, I = 233, hkl 0 2 0; 36.8 deg, I = 219, hkl 0 1 3; 36.1 deg, I = 217, hkl 0 0 4; 68.6 deg, I = 194, hkl 1 2 4

Cell and atoms:
abc: 3.9114 3.6059 9.9441
angles: 90.00 90.00 90.00
Space group Amm2 (No. 38)
One atom of each set of equivalent atoms:
Sc 0.0000 0.0000 0.0000 (multiplicity 2)
Sc 0.5000 0.0000 0.2865 (multiplicity 2)
Co 0.0000 0.0000 0.7275 (multiplicity 2)
As 0.5000 0.0000 0.5712 (multiplicity 2)

***

(2)
# Co3AsSe
Theoretical XRD peak list, Cu Kα (weighted mean of Kα1 and Kα2). Input: DFT lattice parameters and positions (GGA-PBE).
No peak broadening, texture or thermal motion is included.

Principal peaks in the range 10° ≤ 2θ ≤ 90°, by intensity:
41.7 deg, I = 1000, hkl 2 0 0; 60.5 deg, I = 631, hkl 2 2 0; 35.9 deg, I = 592, hkl 1 1 1; 29.2 deg, I = 409, hkl 1 1 0; 20.5 deg, I = 235, hkl 1 0 0; 76.1 deg, I = 207, hkl 2 2 2; 72.4 deg, I = 195, hkl 3 1 1; 51.7 deg, I = 167, hkl 2 1 1; 46.9 deg, I = 97, hkl 2 1 0; 83.5 deg, I = 90, hkl 3 2 1

Cell and atoms:
abc: 4.3306 4.3306 4.3306
angles: 90.00 90.00 90.00
Space group Pm-3m (No. 221)
One atom of each set of equivalent atoms:
Co 0.0000 0.0000 0.5000 (multiplicity 3)
As 0.5000 0.5000 0.5000 (multiplicity 1)
Se 0.0000 0.0000 0.0000 (multiplicity 1)

***

(3)
# CoAsSe
Theoretical XRD peak list, Cu Kα (weighted mean of Kα1 and Kα2). Input: DFT lattice parameters and positions (GGA-PBE).
No peak broadening, texture or thermal motion is included.

Principal peaks in the range 10° ≤ 2θ ≤ 90°, by intensity:
34.8 deg, I = 1000, hkl 2 1 0; 38.2 deg, I = 781, hkl 2 1 1; 52.7 deg, I = 661, hkl 3 1 1; 60.0 deg, I = 408, hkl 3 2 1; 57.7 deg, I = 242, hkl 3 0 2; 31.0 deg, I = 239, hkl 2 0 0; 75.6 deg, I = 204, hkl 4 2 1; 88.0 deg, I = 201, hkl 5 1 1; 44.4 deg, I = 156, hkl 2 2 0; 77.7 deg, I = 96, hkl 3 3 2

Cell and atoms:
abc: 5.7649 5.7649 5.7649
angles: 90.00 90.00 90.00
Space group P2_13 (No. 198)
One atom of each set of equivalent atoms:
Co 0.0018 0.4982 0.5018 (multiplicity 4)
As 0.1241 0.6241 0.8759 (multiplicity 4)
Se 0.1233 0.8767 0.3767 (multiplicity 4)

***

(4)
# UCo7Sn2As2
Theoretical XRD peak list, Cu Kα (weighted mean of Kα1 and Kα2). Input: DFT lattice parameters and positions (GGA-PBE).
No peak broadening, texture or thermal motion is included.

Principal peaks in the range 10° ≤ 2θ ≤ 90°, by intensity:
47.1 deg, I = 1000, hkl 1 1 10; 28.9 deg, I = 924, hkl 1 0 5; 12.2 deg, I = 845, hkl 0 0 4; 50.2 deg, I = 777, hkl 2 0 0; 34.9 deg, I = 556, hkl 1 1 0; 39.7 deg, I = 505, hkl 1 1 6; 43.1 deg, I = 440, hkl 1 1 8; 30.7 deg, I = 327, hkl 0 0 10; 73.7 deg, I = 316, hkl 2 2 0; 26.2 deg, I = 302, hkl 1 0 3

Cell and atoms:
abc: 3.6370 3.6370 29.1373
angles: 90.00 90.00 90.00
Space group I4/mmm (No. 139)
One atom of each set of equivalent atoms:
U 0.0000 0.0000 0.0000 (multiplicity 2)
Co 0.0000 0.0000 0.3061 (multiplicity 4)
Co 0.0000 0.0000 0.5000 (multiplicity 2)
Co 0.0000 0.5000 0.0646 (multiplicity 8)
Sn 0.0000 0.0000 0.2121 (multiplicity 4)
As 0.0000 0.0000 0.3845 (multiplicity 4)

***

(5)
# SrVCoAs2
Theoretical XRD peak list, Cu Kα (weighted mean of Kα1 and Kα2). Input: DFT lattice parameters and positions (GGA-PBE).
No peak broadening, texture or thermal motion is included.

Principal peaks in the range 10° ≤ 2θ ≤ 90°, by intensity:
31.1 deg, I = 1000, hkl 1 0 3; 35.2 deg, I = 439, hkl 1 1 2; 46.2 deg, I = 415, hkl 2 0 0; 56.7 deg, I = 353, hkl 2 1 3; 54.6 deg, I = 298, hkl 1 1 6; 43.3 deg, I = 229, hkl 1 1 4; 42.4 deg, I = 175, hkl 1 0 5; 32.2 deg, I = 156, hkl 1 1 0; 77.4 deg, I = 139, hkl 2 0 8; 67.3 deg, I = 129, hkl 2 2 0

Cell and atoms:
abc: 3.9327 3.9327 12.6679
angles: 90.00 90.00 90.00
Space group I-4m2 (No. 119)
One atom of each set of equivalent atoms:
Sr 0.0000 0.0000 0.0000 (multiplicity 2)
V 0.0000 0.5000 0.2500 (multiplicity 2)
Co 0.0000 0.5000 0.7500 (multiplicity 2)
As 0.0000 0.0000 0.3615 (multiplicity 4)

***

(6)
# CoTcAs2
Theoretical XRD peak list, Cu Kα (weighted mean of Kα1 and Kα2). Input: DFT lattice parameters and positions (GGA-PBE).
No peak broadening, texture or thermal motion is included.

Principal peaks in the range 10° ≤ 2θ ≤ 90°, by intensity:
30.6 deg, I = 1000, hkl 1 0 -1; 38.9 deg, I = 809, hkl 0 2 0; 46.0 deg, I = 708, hkl 0 1 2; 47.0 deg, I = 661, hkl 1 1 1; 47.2 deg, I = 654, hkl 1 1 -2; 50.3 deg, I = 487, hkl 1 2 -1; 20.3 deg, I = 244, hkl 0 0 1; 73.4 deg, I = 235, hkl 2 2 -1; 36.3 deg, I = 230, hkl 1 1 -1; 59.6 deg, I = 223, hkl 2 0 -1

Cell and atoms:
abc: 3.1042 4.6315 4.6271
angles: 90.00 109.35 90.00
Space group Pm (No. 6)
One atom of each set of equivalent atoms:
Co 0.0000 0.0000 0.0000 (multiplicity 1)
Tc 0.4158 0.5000 0.8304 (multiplicity 1)
As 0.1219 0.5000 0.2477 (multiplicity 1)
As 0.3022 0.0000 0.5988 (multiplicity 1)

***

(7)
# ThCo5As3
Theoretical XRD peak list, Cu Kα (weighted mean of Kα1 and Kα2). Input: DFT lattice parameters and positions (GGA-PBE).
No peak broadening, texture or thermal motion is included.

Principal peaks in the range 10° ≤ 2θ ≤ 90°, by intensity:
33.9 deg, I = 1000, hkl 1 1 3; 36.4 deg, I = 943, hkl 1 3 2; 48.6 deg, I = 504, hkl 2 0 0; 39.7 deg, I = 456, hkl 1 1 4; 31.1 deg, I = 406, hkl 0 4 1; 33.0 deg, I = 374, hkl 1 3 0; 29.2 deg, I = 337, hkl 1 1 2; 38.1 deg, I = 333, hkl 0 4 3; 51.2 deg, I = 295, hkl 1 5 3; 30.3 deg, I = 275, hkl 0 0 4

Cell and atoms:
abc: 3.7449 11.8447 11.7847
angles: 90.00 90.00 90.00
Space group Cmcm (No. 63)
One atom of each set of equivalent atoms:
Th 0.0000 0.1668 0.2500 (multiplicity 4)
Co 0.0000 0.0000 0.0000 (multiplicity 4)
Co 0.0000 0.1952 0.5722 (multiplicity 8)
Co 0.0000 0.4490 0.1422 (multiplicity 8)
As 0.0000 0.1053 0.7500 (multiplicity 4)
As 0.0000 0.3807 0.5414 (multiplicity 8)

***

(8)
# Tm2Co12As7
Theoretical XRD peak list, Cu Kα (weighted mean of Kα1 and Kα2). Input: DFT lattice parameters and positions (GGA-PBE).
No peak broadening, texture or thermal motion is included.

Principal peaks in the range 10° ≤ 2θ ≤ 90°, by intensity:
38.2 deg, I = 1000, hkl 2 1 1; 51.8 deg, I = 268, hkl 1 4 0; 49.2 deg, I = 246, hkl 0 0 2; 74.2 deg, I = 179, hkl 1 4 2; 47.4 deg, I = 166, hkl 1 3 1; 55.4 deg, I = 158, hkl 3 2 1; 32.8 deg, I = 156, hkl 2 0 1; 33.2 deg, I = 127, hkl 3 0 0; 38.5 deg, I = 97, hkl 2 2 0; 84.6 deg, I = 94, hkl 2 1 3

Cell and atoms:
abc: 9.3433 9.3433 3.7058
angles: 90.00 90.00 120.00
Space group P-6 (No. 174)
One atom of each set of equivalent atoms:
Tm 0.0000 0.0000 0.0000 (multiplicity 1)
Tm 0.3333 0.6667 0.5000 (multiplicity 1)
Co 0.0470 0.2806 0.5000 (multiplicity 3)
Co 0.1024 0.7102 0.0000 (multiplicity 3)
Co 0.3895 0.1782 0.0000 (multiplicity 3)
Co 0.5393 0.4349 0.5000 (multiplicity 3)
As 0.0748 0.4504 0.0000 (multiplicity 3)
As 0.2599 0.2195 0.5000 (multiplicity 3)
As 0.6667 0.3333 0.0000 (multiplicity 1)

***

(9)
# Tm8Co2As
Theoretical XRD peak list, Cu Kα (weighted mean of Kα1 and Kα2). Input: DFT lattice parameters and positions (GGA-PBE).
No peak broadening, texture or thermal motion is included.

Principal peaks in the range 10° ≤ 2θ ≤ 90°, by intensity:
33.6 deg, I = 1000, hkl 0 4 1; 31.8 deg, I = 973, hkl 2 0 1; 31.4 deg, I = 894, hkl 1 3 1; 34.5 deg, I = 809, hkl 3 1 -1; 30.9 deg, I = 778, hkl 1 1 -2; 37.9 deg, I = 645, hkl 2 4 0; 27.9 deg, I = 585, hkl 2 2 -1; 34.9 deg, I = 565, hkl 0 2 2; 40.9 deg, I = 429, hkl 1 5 -1; 36.3 deg, I = 423, hkl 2 2 -2

Cell and atoms:
abc: 8.0729 12.0896 5.9671
angles: 90.00 107.75 90.00
Space group Cm (No. 8)
One atom of each set of equivalent atoms:
Tm 0.0000 0.0000 0.0000 (multiplicity 2)
Tm 0.0866 0.3638 0.8075 (multiplicity 4)
Tm 0.1688 0.1334 0.6018 (multiplicity 4)
Tm 0.2379 0.5000 0.3885 (multiplicity 2)
Tm 0.3754 0.2229 0.2061 (multiplicity 4)
Co 0.3750 0.3128 0.6867 (multiplicity 4)
As 0.3718 0.0000 0.0163 (multiplicity 2)

***

(10)
# UCoAs
Theoretical XRD peak list, Cu Kα (weighted mean of Kα1 and Kα2). Input: DFT lattice parameters and positions (GGA-PBE).
No peak broadening, texture or thermal motion is included.

Principal peaks in the range 10° ≤ 2θ ≤ 90°, by intensity:
31.3 deg, I = 1000, hkl 1 1 0; 40.8 deg, I = 842, hkl 1 1 -2; 35.2 deg, I = 614, hkl 1 1 1; 35.9 deg, I = 596, hkl 0 1 2; 45.1 deg, I = 455, hkl 0 2 0; 26.2 deg, I = 431, hkl 0 1 1; 24.7 deg, I = 393, hkl 1 0 -1; 44.5 deg, I = 383, hkl 2 0 0; 43.9 deg, I = 344, hkl 1 1 2; 37.5 deg, I = 301, hkl 1 0 2

Cell and atoms:
abc: 4.0939 4.0228 6.4329
angles: 90.00 95.79 90.00
Space group P2_1/m (No. 11)
One atom of each set of equivalent atoms:
U 0.2074 0.2500 0.1749 (multiplicity 2)
Co 0.2622 0.7500 0.4952 (multiplicity 2)
As 0.2754 0.2500 0.7210 (multiplicity 2)

***

(11)
# Y2Co12As7
Theoretical XRD peak list, Cu Kα (weighted mean of Kα1 and Kα2). Input: DFT lattice parameters and positions (GGA-PBE).
No peak broadening, texture or thermal motion is included.

Principal peaks in the range 10° ≤ 2θ ≤ 90°, by intensity:
38.0 deg, I = 1000, hkl 1 2 1; 47.2 deg, I = 295, hkl 3 1 1; 51.7 deg, I = 281, hkl 4 1 0; 48.8 deg, I = 281, hkl 0 0 2; 73.8 deg, I = 186, hkl 4 1 2; 55.2 deg, I = 152, hkl 2 3 1; 41.2 deg, I = 143, hkl 3 0 1; 44.7 deg, I = 106, hkl 4 0 0; 51.3 deg, I = 97, hkl 4 0 1; 88.4 deg, I = 91, hkl 3 5 1

Cell and atoms:
abc: 9.3600 9.3600 3.7329
angles: 90.00 90.00 120.00
Space group P-6 (No. 174)
One atom of each set of equivalent atoms:
Y 0.0000 0.0000 0.0000 (multiplicity 1)
Y 0.3333 0.6667 0.5000 (multiplicity 1)
Co 0.0465 0.7648 0.5000 (multiplicity 3)
Co 0.1012 0.3914 0.0000 (multiplicity 3)
Co 0.3900 0.2109 0.0000 (multiplicity 3)
Co 0.5411 0.1069 0.5000 (multiplicity 3)
As 0.0736 0.6247 0.0000 (multiplicity 3)
As 0.2615 0.0402 0.5000 (multiplicity 3)
As 0.6667 0.3333 0.0000 (multiplicity 1)